The following is a theoretical powder X-ray diffraction pattern of CsSrTl2Au. It was derived from a DFT-relaxed cell (GGA-PBE, Alexandria), using copper Kα.
No peak broadening, texture or thermal motion is included.

Structure:
abc: 5.814 5.814 6.000
angles: 90.00 90.00 90.00
Positions (direct):
Cs 0.000 0.000 0.000
Sr 0.500 0.500 0.000
Tl 0.000 0.500 0.500
Tl 0.500 0.000 0.500
Au 0.500 0.500 0.500

Main lines, low angle first (2θ from 10° to 80°):
2θ 14.76, d = 6.000 Å, rel. 59; 2θ 21.28, d = 4.175 Å, rel. 42; 2θ 26.28, d = 3.391 Å, rel. 79; 2θ 29.78, d = 3.000 Å, rel. 54; 2θ 30.76, d = 2.907 Å, rel. 100; 2θ 34.28, d = 2.616 Å, rel. 33; 2θ 43.34, d = 2.088 Å, rel. 79; 2θ 44.06, d = 2.055 Å, rel. 38; 2θ 52.03, d = 1.758 Å, rel. 24; 2θ 54.09, d = 1.696 Å, rel. 41

---

The following is a theoretical powder X-ray diffraction pattern of CsK5Rb6. It was derived from a DFT-relaxed cell (GGA-PBE, Alexandria), using copper Kα.
No peak broadening, texture or thermal motion is included.

Structure:
abc: 10.977 10.977 8.576
angles: 96.80 96.80 84.44
Positions (direct):
Cs 0.000 0.000 0.000
K 0.173 0.827 0.500
K 0.340 0.660 0.000
K 0.500 0.500 0.500
K 0.660 0.340 0.000
K 0.827 0.173 0.500
Rb 0.086 0.426 0.250
Rb 0.254 0.254 0.739
Rb 0.426 0.086 0.250
Rb 0.574 0.914 0.750
Rb 0.746 0.746 0.261
Rb 0.914 0.574 0.750

Main lines, low angle first (2θ from 10° to 80°):
2θ 22.07, d = 4.027 Å, rel. 100; 2θ 22.15, d = 4.013 Å, rel. 33; 2θ 25.31, d = 3.519 Å, rel. 25; 2θ 25.69, d = 3.467 Å, rel. 45; 2θ 36.38, d = 2.470 Å, rel. 35; 2θ 42.71, d = 2.117 Å, rel. 17; 2θ 43.14, d = 2.097 Å, rel. 21; 2θ 43.28, d = 2.090 Å, rel. 21; 2θ 44.97, d = 2.016 Å, rel. 10; 2θ 45.16, d = 2.008 Å, rel. 9

---

The following is a theoretical powder X-ray diffraction pattern of IO2F2. It was derived from a DFT-relaxed cell (GGA-PBE, Alexandria), using copper Kα.
No peak broadening, texture or thermal motion is included.

Structure:
abc: 3.959 3.959 4.334
angles: 90.00 90.00 90.00
Positions (direct):
I 0.000 0.000 0.000
O 0.000 0.500 0.000
O 0.500 0.000 0.000
F 0.000 0.000 0.500
F 0.500 0.500 0.500

Main lines, low angle first (2θ from 10° to 80°):
2θ 20.49, d = 4.334 Å, rel. 57; 2θ 22.46, d = 3.959 Å, rel. 100; 2θ 30.59, d = 2.923 Å, rel. 91; 2θ 31.97, d = 2.799 Å, rel. 44; 2θ 41.68, d = 2.167 Å, rel. 23; 2θ 45.85, d = 1.979 Å, rel. 35; 2θ 47.86, d = 1.901 Å, rel. 26; 2θ 51.63, d = 1.770 Å, rel. 20; 2θ 56.12, d = 1.639 Å, rel. 32; 2θ 63.68, d = 1.461 Å, rel. 23

---

The following is a theoretical powder X-ray diffraction pattern of La2SmGa2Pt7. It was derived from a DFT-relaxed cell (GGA-PBE, Alexandria), using copper Kα.
No peak broadening, texture or thermal motion is included.

Structure:
abc: 4.156 4.156 14.293
angles: 95.84 95.84 89.40
Positions (direct):
La 0.108 0.108 0.357
La 0.892 0.892 0.643
Sm 0.000 0.000 0.000
Ga 0.413 0.413 0.749
Ga 0.587 0.587 0.251
Pt 0.053 0.553 0.153
Pt 0.385 0.385 0.574
Pt 0.447 0.947 0.847
Pt 0.500 0.500 0.000
Pt 0.553 0.053 0.153
Pt 0.615 0.615 0.426
Pt 0.947 0.447 0.847

Main lines, low angle first (2θ from 10° to 80°):
2θ 31.24, d = 2.863 Å, rel. 34; 2θ 33.16, d = 2.702 Å, rel. 30; 2θ 33.68, d = 2.661 Å, rel. 54; 2θ 34.84, d = 2.575 Å, rel. 78; 2θ 36.15, d = 2.485 Å, rel. 100; 2θ 40.01, d = 2.253 Å, rel. 25; 2θ 43.60, d = 2.076 Å, rel. 84; 2θ 43.79, d = 2.067 Å, rel. 46; 2θ 44.86, d = 2.020 Å, rel. 26; 2θ 62.99, d = 1.476 Å, rel. 25

---

The following is a theoretical powder X-ray diffraction pattern of Tb7Nd6. It was derived from a DFT-relaxed cell (GGA-PBE, Alexandria), using copper Kα.
No peak broadening, texture or thermal motion is included.

Structure:
abc: 12.311 12.311 12.311
angles: 31.44 31.44 31.44
Positions (direct):
Tb 0.000 0.000 0.000
Tb 0.088 0.088 0.583
Tb 0.088 0.583 0.088
Tb 0.417 0.912 0.912
Tb 0.583 0.088 0.088
Tb 0.912 0.417 0.912
Tb 0.912 0.912 0.417
Nd 0.166 0.166 0.166
Nd 0.349 0.349 0.349
Nd 0.452 0.452 0.452
Nd 0.548 0.548 0.548
Nd 0.651 0.651 0.651
Nd 0.834 0.834 0.834

Main lines, low angle first (2θ from 10° to 80°):
2θ 26.73, d = 3.335 Å, rel. 42; 2θ 29.80, d = 2.998 Å, rel. 38; 2θ 30.58, d = 2.923 Å, rel. 29; 2θ 30.87, d = 2.897 Å, rel. 100; 2θ 31.07, d = 2.879 Å, rel. 51; 2θ 32.06, d = 2.792 Å, rel. 55; 2θ 33.55, d = 2.671 Å, rel. 58; 2θ 35.89, d = 2.502 Å, rel. 33; 2θ 50.67, d = 1.802 Å, rel. 31; 2θ 55.07, d = 1.668 Å, rel. 43

---

The following is a theoretical powder X-ray diffraction pattern of Ac6Ge2RuI3. It was derived from a DFT-relaxed cell (GGA-PBE, Alexandria), using copper Kα.
No peak broadening, texture or thermal motion is included.

Structure:
abc: 7.951 7.951 8.630
angles: 98.91 98.91 119.67
Positions (direct):
Ac 0.064 0.377 0.191
Ac 0.249 0.249 0.804
Ac 0.377 0.064 0.191
Ac 0.623 0.936 0.809
Ac 0.751 0.751 0.196
Ac 0.936 0.623 0.809
Ge 0.334 0.666 0.000
Ge 0.666 0.334 0.000
Ru 0.000 0.000 0.000
I 0.174 0.826 0.500
I 0.500 0.500 0.500
I 0.826 0.174 0.500

Main lines, low angle first (2θ from 10° to 80°):
2θ 23.52, d = 3.783 Å, rel. 11; 2θ 26.66, d = 3.344 Å, rel. 100; 2θ 28.86, d = 3.093 Å, rel. 12; 2θ 32.72, d = 2.737 Å, rel. 10; 2θ 34.00, d = 2.637 Å, rel. 12; 2θ 36.90, d = 2.436 Å, rel. 26; 2θ 39.12, d = 2.303 Å, rel. 28; 2θ 39.32, d = 2.291 Å, rel. 13; 2θ 48.11, d = 1.891 Å, rel. 13; 2θ 51.89, d = 1.762 Å, rel. 10

---

The following is a theoretical powder X-ray diffraction pattern of Ca2YAgO5. It was derived from a DFT-relaxed cell (GGA-PBE, Alexandria), using copper Kα.
No peak broadening, texture or thermal motion is included.

Structure:
abc: 7.851 7.851 6.723
angles: 105.65 105.65 43.56
Positions (direct):
Ca 0.060 0.533 0.123
Ca 0.225 0.775 0.500
Ca 0.533 0.060 0.623
Ca 0.775 0.225 0.000
Y 0.436 0.824 0.154
Y 0.824 0.436 0.654
Ag 0.160 0.644 0.806
Ag 0.644 0.160 0.306
O 0.152 0.376 0.757
O 0.155 0.925 0.868
O 0.376 0.152 0.257
O 0.403 0.502 0.184
O 0.502 0.403 0.684
O 0.530 0.760 0.494
O 0.760 0.530 0.994
O 0.825 0.882 0.918
O 0.882 0.825 0.418
O 0.925 0.155 0.368

Main lines, low angle first (2θ from 10° to 80°):
2θ 12.69, d = 6.976 Å, rel. 26; 2θ 20.31, d = 4.373 Å, rel. 74; 2θ 26.94, d = 3.309 Å, rel. 46; 2θ 30.70, d = 2.913 Å, rel. 46; 2θ 30.88, d = 2.895 Å, rel. 100; 2θ 34.71, d = 2.585 Å, rel. 45; 2θ 43.66, d = 2.073 Å, rel. 46; 2θ 44.86, d = 2.021 Å, rel. 35; 2θ 46.31, d = 1.961 Å, rel. 35; 2θ 54.69, d = 1.678 Å, rel. 27

---

The following is a theoretical powder X-ray diffraction pattern of Tb3DyY6Ho2. It was derived from a DFT-relaxed cell (GGA-PBE, Alexandria), using copper Kα.
No peak broadening, texture or thermal motion is included.

Structure:
abc: 6.160 6.160 11.791
angles: 94.98 94.98 119.94
Positions (direct):
Tb 0.000 0.000 0.000
Tb 0.333 0.667 0.000
Tb 0.667 0.333 0.000
Dy 0.500 0.500 0.500
Y 0.083 0.417 0.251
Y 0.250 0.250 0.749
Y 0.417 0.083 0.251
Y 0.583 0.917 0.749
Y 0.750 0.750 0.251
Y 0.917 0.583 0.749
Ho 0.167 0.833 0.500
Ho 0.833 0.167 0.500

Main lines, low angle first (2θ from 10° to 80°):
2θ 15.26, d = 5.806 Å, rel. 9; 2θ 29.44, d = 3.034 Å, rel. 6; 2θ 30.79, d = 2.904 Å, rel. 100; 2θ 35.70, d = 2.515 Å, rel. 50; 2θ 39.03, d = 2.308 Å, rel. 3; 2θ 51.37, d = 1.779 Å, rel. 35; 2θ 53.91, d = 1.701 Å, rel. 2; 2θ 61.10, d = 1.517 Å, rel. 42; 2θ 64.13, d = 1.452 Å, rel. 12; 2θ 75.65, d = 1.257 Å, rel. 4

---

The following is a theoretical powder X-ray diffraction pattern of Ag5GeAu2. It was derived from a DFT-relaxed cell (GGA-PBE, Alexandria), using copper Kα.
No peak broadening, texture or thermal motion is included.

Structure:
abc: 5.775 11.674 4.261
angles: 90.00 90.00 90.00
Positions (direct):
Ag 0.000 0.000 0.000
Ag 0.035 0.252 0.000
Ag 0.218 0.869 0.500
Ag 0.282 0.369 0.500
Ag 0.465 0.752 0.000
Ag 0.500 0.500 0.000
Ag 0.535 0.248 0.000
Ag 0.718 0.631 0.500
Ag 0.782 0.131 0.500
Ag 0.965 0.748 0.000
Ge 0.000 0.500 0.000
Ge 0.500 0.000 0.000
Au 0.221 0.619 0.500
Au 0.279 0.119 0.500
Au 0.721 0.881 0.500
Au 0.779 0.381 0.500

Main lines, low angle first (2θ from 10° to 80°):
2θ 37.35, d = 2.408 Å, rel. 100; 2θ 37.63, d = 2.390 Å, rel. 87; 2θ 38.44, d = 2.342 Å, rel. 12; 2θ 42.42, d = 2.131 Å, rel. 35; 2θ 44.12, d = 2.053 Å, rel. 54; 2θ 62.87, d = 1.478 Å, rel. 37; 2θ 74.26, d = 1.277 Å, rel. 13; 2θ 74.44, d = 1.275 Å, rel. 11; 2θ 76.48, d = 1.245 Å, rel. 20; 2θ 77.01, d = 1.238 Å, rel. 13

---

The following is a theoretical powder X-ray diffraction pattern of As2O3. It was derived from a DFT-relaxed cell (GGA-PBE, Alexandria), using copper Kα.
No peak broadening, texture or thermal motion is included.

Structure:
abc: 5.399 12.834 5.260
angles: 90.00 90.00 90.00
Positions (direct):
As 0.091 0.132 0.166
As 0.091 0.368 0.666
As 0.409 0.132 0.666
As 0.409 0.368 0.166
As 0.591 0.632 0.834
As 0.591 0.868 0.334
As 0.909 0.632 0.334
As 0.909 0.868 0.834
O 0.162 0.070 0.860
O 0.162 0.430 0.360
O 0.250 0.250 0.046
O 0.250 0.250 0.546
O 0.338 0.070 0.360
O 0.338 0.430 0.860
O 0.662 0.570 0.140
O 0.662 0.930 0.640
O 0.750 0.750 0.454
O 0.750 0.750 0.954
O 0.838 0.570 0.640
O 0.838 0.930 0.140

Main lines, low angle first (2θ from 10° to 80°):
2θ 17.82, d = 4.977 Å, rel. 100; 2θ 24.63, d = 3.615 Å, rel. 31; 2θ 26.58, d = 3.353 Å, rel. 17; 2θ 27.45, d = 3.249 Å, rel. 80; 2θ 27.81, d = 3.208 Å, rel. 38; 2θ 34.82, d = 2.576 Å, rel. 19; 2θ 38.10, d = 2.362 Å, rel. 17; 2θ 40.09, d = 2.249 Å, rel. 20; 2θ 43.20, d = 2.094 Å, rel. 24; 2θ 48.97, d = 1.860 Å, rel. 20

---

The following is a theoretical powder X-ray diffraction pattern of V2Fe7Ge2Os. It was derived from a DFT-relaxed cell (GGA-PBE, Alexandria), using copper Kα.
No peak broadening, texture or thermal motion is included.

Structure:
abc: 3.495 3.495 12.855
angles: 97.76 97.76 90.00
Positions (direct):
V 0.168 0.168 0.339
V 0.832 0.832 0.661
Fe 0.000 0.000 0.000
Fe 0.073 0.573 0.148
Fe 0.264 0.264 0.527
Fe 0.427 0.927 0.852
Fe 0.573 0.073 0.148
Fe 0.736 0.736 0.473
Fe 0.927 0.427 0.852
Ge 0.359 0.359 0.716
Ge 0.641 0.641 0.284
Os 0.500 0.500 0.000

Main lines, low angle first (2θ from 10° to 80°):
2θ 25.73, d = 3.462 Å, rel. 41; 2θ 36.35, d = 2.471 Å, rel. 37; 2θ 39.15, d = 2.301 Å, rel. 24; 2θ 41.28, d = 2.187 Å, rel. 28; 2θ 42.42, d = 2.131 Å, rel. 100; 2θ 43.01, d = 2.103 Å, rel. 23; 2θ 46.69, d = 1.945 Å, rel. 82; 2θ 52.35, d = 1.748 Å, rel. 62; 2θ 70.00, d = 1.344 Å, rel. 20; 2θ 77.20, d = 1.236 Å, rel. 18

---

The following is a theoretical powder X-ray diffraction pattern of ScMnBr2. It was derived from a DFT-relaxed cell (GGA-PBE, Alexandria), using copper Kα.
No peak broadening, texture or thermal motion is included.

Structure:
abc: 10.211 3.437 7.290
angles: 90.00 120.23 90.00
Positions (direct):
Sc 0.000 0.000 0.000
Sc 0.500 0.500 0.000
Mn 0.286 0.000 0.662
Mn 0.786 0.500 0.662
Br 0.061 0.500 0.340
Br 0.192 0.500 0.950
Br 0.561 0.000 0.340
Br 0.692 0.000 0.950

Main lines, low angle first (2θ from 10° to 80°):
2θ 17.82, d = 4.978 Å, rel. 34; 2θ 20.13, d = 4.411 Å, rel. 26; 2θ 25.15, d = 3.542 Å, rel. 43; 2θ 27.86, d = 3.203 Å, rel. 25; 2θ 30.01, d = 2.977 Å, rel. 33; 2θ 33.63, d = 2.665 Å, rel. 55; 2θ 36.15, d = 2.485 Å, rel. 100; 2θ 37.19, d = 2.417 Å, rel. 53; 2θ 40.36, d = 2.235 Å, rel. 23; 2θ 43.08, d = 2.100 Å, rel. 26